(1)
Computed XRD peak list
Compound: MgSb2Mo
Radiation: Cu Kα, 1.54184 Å
Structure: a cell relaxed with PBE
No peak broadening, texture or thermal motion is included.

Top 10 peaks for 10° ≤ 2θ ≤ 90°, sorted by position:
2θ (°)  I_rel
13.60  18
27.39  19
28.21  29
35.07  78
37.15  100
45.06  19
50.44  27
62.56  18
64.28  39
84.40  16

Structure:
```
data_MgSb2Mo
_chemical_formula_sum 'Mg1 Sb2 Mo1'
_symmetry_space_group_name_H-M 'P 1'
_symmetry_Int_Tables_number 1
_symmetry_space_group_name_Hall 'P 1'
_cell_length_a 3.6183
_cell_length_b 3.6183
_cell_length_c 6.5121
_cell_angle_alpha 90.00
_cell_angle_beta 90.00
_cell_angle_gamma 90.00
loop_
_atom_site_label
_atom_site_type_symbol
_atom_site_fract_x
_atom_site_fract_y
_atom_site_fract_z
Mg1 Mg 0.0000 0.0000 0.0000
Sb1 Sb 0.0000 0.0000 0.4301
Sb2 Sb 0.5000 0.5000 0.7740
Mo1 Mo 0.5000 0.5000 0.2634
```

***

(2)
Computed XRD peak list
Compound: MgSb2Mo
Radiation: Cu Kα, 1.54184 Å
Structure: a cell relaxed with PBE
No peak broadening, texture or thermal motion is included.

Top 10 peaks for 10° ≤ 2θ ≤ 90°, sorted by position:
2θ (°)  I_rel
12.70  39
23.85  33
25.56  23
30.04  31
32.51  33
37.39  100
39.84  18
41.80  30
46.93  18
51.61  20

Structure:
```
data_MgSb2Mo
_chemical_formula_sum 'Mg2 Sb4 Mo2'
_symmetry_space_group_name_H-M 'P 1'
_symmetry_Int_Tables_number 1
_symmetry_space_group_name_Hall 'P 1'
_cell_length_a 3.4190
_cell_length_b 3.8718
_cell_length_c 13.9410
_cell_angle_alpha 90.00
_cell_angle_beta 90.00
_cell_angle_gamma 90.00
loop_
_atom_site_label
_atom_site_type_symbol
_atom_site_fract_x
_atom_site_fract_y
_atom_site_fract_z
Mg1 Mg 0.0000 0.0000 0.0000
Mg2 Mg 0.5000 0.5000 0.5000
Sb1 Sb 0.0000 0.0000 0.6128
Sb2 Sb 0.0000 0.5000 0.8387
Sb3 Sb 0.5000 0.0000 0.3387
Sb4 Sb 0.5000 0.5000 0.1128
Mo1 Mo 0.0000 0.5000 0.2646
Mo2 Mo 0.5000 0.0000 0.7646
```

***

(3)
Computed XRD peak list
Compound: Mg3Mo12Se16
Radiation: Cu Kα, 1.54184 Å
Structure: a cell relaxed with PBE
No peak broadening, texture or thermal motion is included.

Top 10 peaks for 10° ≤ 2θ ≤ 90°, sorted by position:
2θ (°)  I_rel
12.84  100
29.76  9
37.48  14
38.36  11
42.25  18
42.55  13
42.80  19
44.07  14
46.58  13
47.82  12

Structure:
```
data_Mg3Mo12Se16
_chemical_formula_sum 'Mg3 Mo12 Se16'
_symmetry_space_group_name_H-M 'P 1'
_symmetry_Int_Tables_number 1
_symmetry_space_group_name_Hall 'P 1'
_cell_length_a 6.9612
_cell_length_b 6.9769
_cell_length_c 13.8623
_cell_angle_alpha 94.00
_cell_angle_beta 93.22
_cell_angle_gamma 97.35
loop_
_atom_site_label
_atom_site_type_symbol
_atom_site_fract_x
_atom_site_fract_y
_atom_site_fract_z
Mg1 Mg 0.0000 0.0000 0.0000
Mg2 Mg 0.0617 0.9558 0.5388
Mg3 Mg 0.5293 0.9758 0.2695
Mo1 Mo 0.2629 0.4102 0.0425
Mo2 Mo 0.2826 0.3683 0.5442
Mo3 Mo 0.4444 0.5312 0.8878
Mo4 Mo 0.4611 0.5012 0.3902
Mo5 Mo 0.4814 0.7522 0.0591
Mo6 Mo 0.4994 0.7193 0.5623
Mo7 Mo 0.5643 0.2363 0.9767
Mo8 Mo 0.5821 0.2034 0.4800
Mo9 Mo 0.6026 0.4543 0.1489
Mo10 Mo 0.6191 0.4244 0.6512
Mo11 Mo 0.7809 0.5874 0.9948
Mo12 Mo 0.8007 0.5453 0.4965
Se1 Se 0.1574 0.6934 0.9478
Se2 Se 0.1726 0.6559 0.4515
Se3 Se 0.2346 0.1939 0.8776
Se4 Se 0.2509 0.1600 0.3769
Se5 Se 0.3093 0.6145 0.2111
Se6 Se 0.3166 0.5849 0.7038
Se7 Se 0.3718 0.1122 0.1219
Se8 Se 0.4113 0.0821 0.6350
Se9 Se 0.6519 0.8734 0.9039
Se10 Se 0.6919 0.8435 0.4170
Se11 Se 0.7471 0.3708 0.8353
Se12 Se 0.7537 0.3404 0.3279
Se13 Se 0.8124 0.7958 0.1621
Se14 Se 0.8291 0.7615 0.6615
Se15 Se 0.8912 0.3000 0.0876
Se16 Se 0.9062 0.2625 0.5914
```

***

(4)
Computed XRD peak list
Compound: Mg6SnMo
Radiation: Cu Kα, 1.54184 Å
Structure: a cell relaxed with PBE
No peak broadening, texture or thermal motion is included.

Top 10 peaks for 10° ≤ 2θ ≤ 90°, sorted by position:
2θ (°)  I_rel
16.26  57
17.60  46
24.05  43
34.05  39
35.63  40
37.51  59
38.58  100
50.12  29
65.96  20
71.26  20

Structure:
```
data_Mg6SnMo
_chemical_formula_sum 'Mg12 Sn2 Mo2'
_symmetry_space_group_name_H-M 'P 1'
_symmetry_Int_Tables_number 1
_symmetry_space_group_name_Hall 'P 1'
_cell_length_a 5.0397
_cell_length_b 6.0131
_cell_length_c 10.9028
_cell_angle_alpha 90.00
_cell_angle_beta 90.00
_cell_angle_gamma 90.00
loop_
_atom_site_label
_atom_site_type_symbol
_atom_site_fract_x
_atom_site_fract_y
_atom_site_fract_z
Mg1 Mg 0.0000 0.0000 0.0000
Mg2 Mg 0.0000 0.0000 0.4896
Mg3 Mg 0.0000 0.2367 0.2494
Mg4 Mg 0.0000 0.2633 0.7494
Mg5 Mg 0.0000 0.5000 0.5000
Mg6 Mg 0.0000 0.5000 0.9896
Mg7 Mg 0.0000 0.7367 0.7494
Mg8 Mg 0.0000 0.7633 0.2494
Mg9 Mg 0.5000 0.2483 0.5854
Mg10 Mg 0.5000 0.2517 0.0854
Mg11 Mg 0.5000 0.7483 0.0854
Mg12 Mg 0.5000 0.7517 0.5854
Sn1 Sn 0.5000 0.0000 0.8360
Sn2 Sn 0.5000 0.5000 0.3360
Mo1 Mo 0.5000 0.0000 0.3358
Mo2 Mo 0.5000 0.5000 0.8358
```

***

(5)
Computed XRD peak list
Compound: SrMg14Mo
Radiation: Cu Kα, 1.54184 Å
Structure: a cell relaxed with PBE
No peak broadening, texture or thermal motion is included.

Top 10 peaks for 10° ≤ 2θ ≤ 90°, sorted by position:
2θ (°)  I_rel
15.62  18
17.78  26
32.29  33
34.28  41
36.01  59
36.69  100
47.81  21
56.63  17
62.97  18
67.89  18

Structure:
```
data_SrMg14Mo
_chemical_formula_sum 'Sr1 Mg14 Mo1'
_symmetry_space_group_name_H-M 'P 1'
_symmetry_Int_Tables_number 1
_symmetry_space_group_name_Hall 'P 1'
_cell_length_a 10.4628
_cell_length_b 6.5036
_cell_length_c 6.5036
_cell_angle_alpha 58.49
_cell_angle_beta 90.00
_cell_angle_gamma 90.00
loop_
_atom_site_label
_atom_site_type_symbol
_atom_site_fract_x
_atom_site_fract_y
_atom_site_fract_z
Sr1 Sr 0.0000 0.0000 0.0000
Mg1 Mg 0.0000 0.0013 0.4949
Mg2 Mg 0.0000 0.4949 0.0013
Mg3 Mg 0.2273 0.6400 0.6400
Mg4 Mg 0.2496 0.1587 0.6390
Mg5 Mg 0.2496 0.6390 0.1587
Mg6 Mg 0.2680 0.1544 0.1544
Mg7 Mg 0.5000 0.4881 0.4881
Mg8 Mg 0.5000 0.4934 0.9817
Mg9 Mg 0.5000 0.9817 0.4934
Mg10 Mg 0.5000 0.9828 0.9828
Mg11 Mg 0.7320 0.1544 0.1544
Mg12 Mg 0.7504 0.1587 0.6390
Mg13 Mg 0.7504 0.6390 0.1587
Mg14 Mg 0.7727 0.6400 0.6400
Mo1 Mo 0.0000 0.4766 0.4766
```

***

(6)
Computed XRD peak list
Compound: SrMg2Mo
Radiation: Cu Kα, 1.54184 Å
Structure: a cell relaxed with PBE
No peak broadening, texture or thermal motion is included.

Top 10 peaks for 10° ≤ 2θ ≤ 90°, sorted by position:
2θ (°)  I_rel
16.76  91
19.03  22
29.93  30
31.50  27
32.22  53
32.98  67
35.89  100
38.20  96
42.80  23
45.52  20

Structure:
```
data_SrMg2Mo
_chemical_formula_sum 'Sr2 Mg4 Mo2'
_symmetry_space_group_name_H-M 'P 1'
_symmetry_Int_Tables_number 1
_symmetry_space_group_name_Hall 'P 1'
_cell_length_a 11.5546
_cell_length_b 3.1054
_cell_length_c 5.6244
_cell_angle_alpha 90.00
_cell_angle_beta 109.84
_cell_angle_gamma 90.00
loop_
_atom_site_label
_atom_site_type_symbol
_atom_site_fract_x
_atom_site_fract_y
_atom_site_fract_z
Sr1 Sr 0.0000 0.0000 0.0000
Sr2 Sr 0.5000 0.5000 0.0000
Mg1 Mg 0.0461 0.5000 0.5368
Mg2 Mg 0.2823 0.5000 0.3606
Mg3 Mg 0.5461 0.0000 0.5368
Mg4 Mg 0.7823 0.0000 0.3606
Mo1 Mo 0.2447 0.0000 0.8336
Mo2 Mo 0.7447 0.5000 0.8336
```

***

(7)
Computed XRD peak list
Compound: SrMg14Mo
Radiation: Cu Kα, 1.54184 Å
Structure: a cell relaxed with PBE
No peak broadening, texture or thermal motion is included.

Top 10 peaks for 10° ≤ 2θ ≤ 90°, sorted by position:
2θ (°)  I_rel
15.77  34
23.37  25
31.85  29
34.66  23
36.38  100
47.78  18
56.75  17
63.25  15
68.23  17
69.31  14

Structure:
```
data_SrMg14Mo
_chemical_formula_sum 'Sr1 Mg14 Mo1'
_symmetry_space_group_name_H-M 'P 1'
_symmetry_Int_Tables_number 1
_symmetry_space_group_name_Hall 'P 1'
_cell_length_a 6.4885
_cell_length_b 6.4885
_cell_length_c 10.3524
_cell_angle_alpha 90.00
_cell_angle_beta 90.00
_cell_angle_gamma 120.00
loop_
_atom_site_label
_atom_site_type_symbol
_atom_site_fract_x
_atom_site_fract_y
_atom_site_fract_z
Sr1 Sr 0.0000 0.0000 0.0000
Mg1 Mg 0.0148 0.5074 0.0000
Mg2 Mg 0.1637 0.3274 0.2742
Mg3 Mg 0.1637 0.3274 0.7258
Mg4 Mg 0.1637 0.8363 0.2742
Mg5 Mg 0.1637 0.8363 0.7258
Mg6 Mg 0.4926 0.5074 0.0000
Mg7 Mg 0.4926 0.9852 0.0000
Mg8 Mg 0.5048 0.0096 0.5000
Mg9 Mg 0.5048 0.4952 0.5000
Mg10 Mg 0.6667 0.3333 0.2359
Mg11 Mg 0.6667 0.3333 0.7641
Mg12 Mg 0.6726 0.8363 0.2742
Mg13 Mg 0.6726 0.8363 0.7258
Mg14 Mg 0.9904 0.4952 0.5000
Mo1 Mo 0.0000 0.0000 0.5000
```

***

(8)
Computed XRD peak list
Compound: MgTaMo
Radiation: Cu Kα, 1.54184 Å
Structure: a cell relaxed with PBE
No peak broadening, texture or thermal motion is included.

Top 10 peaks for 10° ≤ 2θ ≤ 90°, sorted by position:
2θ (°)  I_rel
12.41  90
34.13  24
37.84  25
38.65  100
39.41  24
46.57  19
55.80  25
68.88  16
70.96  17
82.88  11

Structure:
```
data_MgTaMo
_chemical_formula_sum 'Mg4 Ta4 Mo4'
_symmetry_space_group_name_H-M 'P 1'
_symmetry_Int_Tables_number 1
_symmetry_space_group_name_Hall 'P 1'
_cell_length_a 3.2933
_cell_length_b 4.5729
_cell_length_c 14.2641
_cell_angle_alpha 90.00
_cell_angle_beta 90.00
_cell_angle_gamma 90.00
loop_
_atom_site_label
_atom_site_type_symbol
_atom_site_fract_x
_atom_site_fract_y
_atom_site_fract_z
Mg1 Mg 0.0000 0.0000 0.0000
Mg2 Mg 0.0000 0.5000 0.5000
Mg3 Mg 0.5000 0.0000 0.5000
Mg4 Mg 0.5000 0.5000 0.0000
Ta1 Ta 0.0000 0.0000 0.6795
Ta2 Ta 0.0000 0.5000 0.1795
Ta3 Ta 0.5000 0.0000 0.1795
Ta4 Ta 0.5000 0.5000 0.6795
Mo1 Mo 0.0000 0.0000 0.3328
Mo2 Mo 0.0000 0.5000 0.8328
Mo3 Mo 0.5000 0.0000 0.8328
Mo4 Mo 0.5000 0.5000 0.3328
```

***

(9)
Computed XRD peak list
Compound: MgTcMo2
Radiation: Cu Kα, 1.54184 Å
Structure: a cell relaxed with PBE
No peak broadening, texture or thermal motion is included.

Top 10 peaks for 10° ≤ 2θ ≤ 90°, sorted by position:
2θ (°)  I_rel
19.80  34
39.59  52
40.23  100
40.49  98
41.32  46
58.25  16
58.55  32
72.25  17
72.43  17
72.73  17

Structure:
```
data_MgTcMo2
_chemical_formula_sum 'Mg2 Tc2 Mo4'
_symmetry_space_group_name_H-M 'P 1'
_symmetry_Int_Tables_number 1
_symmetry_space_group_name_Hall 'P 1'
_cell_length_a 5.4203
_cell_length_b 9.1062
_cell_length_c 2.6878
_cell_angle_alpha 90.00
_cell_angle_beta 108.12
_cell_angle_gamma 90.00
loop_
_atom_site_label
_atom_site_type_symbol
_atom_site_fract_x
_atom_site_fract_y
_atom_site_fract_z
Mg1 Mg 0.0000 0.0000 0.0000
Mg2 Mg 0.5000 0.5000 0.0000
Tc1 Tc 0.0000 0.5000 0.0000
Tc2 Tc 0.5000 0.0000 0.0000
Mo1 Mo 0.2500 0.2500 0.5000
Mo2 Mo 0.2500 0.7500 0.5000
Mo3 Mo 0.7500 0.2500 0.5000
Mo4 Mo 0.7500 0.7500 0.5000
```

***

(10)
Computed XRD peak list
Compound: Mg4TcMo2
Radiation: Cu Kα, 1.54184 Å
Structure: a cell relaxed with PBE
No peak broadening, texture or thermal motion is included.

Top 10 peaks for 10° ≤ 2θ ≤ 90°, sorted by position:
2θ (°)  I_rel
13.37  100
24.71  87
28.20  18
35.23  62
37.84  30
38.30  59
50.68  21
53.01  45
57.17  16
63.96  16

Structure:
```
data_Mg4TcMo2
_chemical_formula_sum 'Mg8 Tc2 Mo4'
_symmetry_space_group_name_H-M 'P 1'
_symmetry_Int_Tables_number 1
_symmetry_space_group_name_Hall 'P 1'
_cell_length_a 5.0950
_cell_length_b 5.0950
_cell_length_c 13.2438
_cell_angle_alpha 90.00
_cell_angle_beta 90.00
_cell_angle_gamma 90.00
loop_
_atom_site_label
_atom_site_type_symbol
_atom_site_fract_x
_atom_site_fract_y
_atom_site_fract_z
Mg1 Mg 0.0000 0.0000 0.1936
Mg2 Mg 0.0000 0.0000 0.8064
Mg3 Mg 0.0000 0.5000 0.0000
Mg4 Mg 0.0000 0.5000 0.5000
Mg5 Mg 0.5000 0.0000 0.0000
Mg6 Mg 0.5000 0.0000 0.5000
Mg7 Mg 0.5000 0.5000 0.3064
Mg8 Mg 0.5000 0.5000 0.6936
Tc1 Tc 0.0000 0.0000 0.0000
Tc2 Tc 0.5000 0.5000 0.5000
Mo1 Mo 0.0000 0.0000 0.4198
Mo2 Mo 0.0000 0.0000 0.5802
Mo3 Mo 0.5000 0.5000 0.0802
Mo4 Mo 0.5000 0.5000 0.9198
```

***

(11)
Computed XRD peak list
Compound: MgTc3Mo
Radiation: Cu Kα, 1.54184 Å
Structure: a cell relaxed with PBE
No peak broadening, texture or thermal motion is included.

Top 10 peaks for 10° ≤ 2θ ≤ 90°, sorted by position:
2θ (°)  I_rel
18.86  100
32.98  58
38.26  98
42.99  46
55.22  66
58.89  22
65.84  22
69.17  22
81.91  10
85.01  13

Structure:
```
data_MgTc3Mo
_chemical_formula_sum 'Mg1 Tc3 Mo1'
_symmetry_space_group_name_H-M 'P 1'
_symmetry_Int_Tables_number 1
_symmetry_space_group_name_Hall 'P 1'
_cell_length_a 4.7046
_cell_length_b 4.7046
_cell_length_c 4.7046
_cell_angle_alpha 90.00
_cell_angle_beta 90.00
_cell_angle_gamma 90.00
loop_
_atom_site_label
_atom_site_type_symbol
_atom_site_fract_x
_atom_site_fract_y
_atom_site_fract_z
Mg1 Mg 0.0000 0.0000 0.0000
Tc1 Tc 0.0000 0.5000 0.5000
Tc2 Tc 0.5000 0.0000 0.5000
Tc3 Tc 0.5000 0.5000 0.0000
Mo1 Mo 0.5000 0.5000 0.5000
```

***

(12)
Computed XRD peak list
Compound: MgTe2Mo
Radiation: Cu Kα, 1.54184 Å
Structure: a cell relaxed with PBE
No peak broadening, texture or thermal motion is included.

Top 10 peaks for 10° ≤ 2θ ≤ 90°, sorted by position:
2θ (°)  I_rel
12.48  22
26.91  15
30.66  100
42.76  37
45.04  35
55.48  18
63.85  11
70.82  15
74.14  15
81.53  11

Structure:
```
data_MgTe2Mo
_chemical_formula_sum 'Mg3 Te6 Mo3'
_symmetry_space_group_name_H-M 'P 1'
_symmetry_Int_Tables_number 1
_symmetry_space_group_name_Hall 'P 1'
_cell_length_a 4.0253
_cell_length_b 4.0253
_cell_length_c 21.2772
_cell_angle_alpha 90.00
_cell_angle_beta 90.00
_cell_angle_gamma 120.00
loop_
_atom_site_label
_atom_site_type_symbol
_atom_site_fract_x
_atom_site_fract_y
_atom_site_fract_z
Mg1 Mg 0.0000 0.0000 0.0000
Mg2 Mg 0.3333 0.6667 0.6667
Mg3 Mg 0.6667 0.3333 0.3333
Te1 Te 0.0000 0.0000 0.2433
Te2 Te 0.0000 0.0000 0.7567
Te3 Te 0.3333 0.6667 0.4233
Te4 Te 0.3333 0.6667 0.9100
Te5 Te 0.6667 0.3333 0.0900
Te6 Te 0.6667 0.3333 0.5767
Mo1 Mo 0.0000 0.0000 0.5000
Mo2 Mo 0.3333 0.6667 0.1667
Mo3 Mo 0.6667 0.3333 0.8333
```

***

(13)
Computed XRD peak list
Compound: Mg6TiMo
Radiation: Cu Kα, 1.54184 Å
Structure: a cell relaxed with PBE
No peak broadening, texture or thermal motion is included.

Top 10 peaks for 10° ≤ 2θ ≤ 90°, sorted by position:
2θ (°)  I_rel
15.99  41
17.84  26
24.05  20
35.17  37
36.13  52
37.14  71
39.71  100
51.31  24
59.46  20
71.60  19

Structure:
```
data_Mg6TiMo
_chemical_formula_sum 'Mg12 Ti2 Mo2'
_symmetry_space_group_name_H-M 'P 1'
_symmetry_Int_Tables_number 1
_symmetry_space_group_name_Hall 'P 1'
_cell_length_a 4.9715
_cell_length_b 5.7488
_cell_length_c 11.0863
_cell_angle_alpha 90.00
_cell_angle_beta 90.00
_cell_angle_gamma 90.00
loop_
_atom_site_label
_atom_site_type_symbol
_atom_site_fract_x
_atom_site_fract_y
_atom_site_fract_z
Mg1 Mg 0.0000 0.0000 0.0000
Mg2 Mg 0.0000 0.0000 0.4943
Mg3 Mg 0.0000 0.2440 0.2644
Mg4 Mg 0.0000 0.2560 0.7644
Mg5 Mg 0.0000 0.5000 0.5000
Mg6 Mg 0.0000 0.5000 0.9943
Mg7 Mg 0.0000 0.7440 0.7644
Mg8 Mg 0.0000 0.7560 0.2644
Mg9 Mg 0.5000 0.2498 0.1047
Mg10 Mg 0.5000 0.2502 0.6047
Mg11 Mg 0.5000 0.7502 0.1047
Mg12 Mg 0.5000 0.7498 0.6047
Ti1 Ti 0.5000 0.0000 0.8526
Ti2 Ti 0.5000 0.5000 0.3526
Mo1 Mo 0.5000 0.0000 0.3540
Mo2 Mo 0.5000 0.5000 0.8540
```

***

(14)
Computed XRD peak list
Compound: Mg4Ti2Mo
Radiation: Cu Kα, 1.54184 Å
Structure: a cell relaxed with PBE
No peak broadening, texture or thermal motion is included.

Top 10 peaks for 10° ≤ 2θ ≤ 90°, sorted by position:
2θ (°)  I_rel
12.84  100
24.88  65
35.47  59
37.13  65
37.87  27
51.03  20
52.29  46
57.58  11
64.78  12
76.08  14

Structure:
```
data_Mg4Ti2Mo
_chemical_formula_sum 'Mg8 Ti4 Mo2'
_symmetry_space_group_name_H-M 'P 1'
_symmetry_Int_Tables_number 1
_symmetry_space_group_name_Hall 'P 1'
_cell_length_a 5.0620
_cell_length_b 5.0620
_cell_length_c 13.7868
_cell_angle_alpha 90.00
_cell_angle_beta 90.00
_cell_angle_gamma 90.00
loop_
_atom_site_label
_atom_site_type_symbol
_atom_site_fract_x
_atom_site_fract_y
_atom_site_fract_z
Mg1 Mg 0.0000 0.0000 0.1917
Mg2 Mg 0.0000 0.0000 0.8083
Mg3 Mg 0.0000 0.5000 0.0000
Mg4 Mg 0.0000 0.5000 0.5000
Mg5 Mg 0.5000 0.0000 0.0000
Mg6 Mg 0.5000 0.0000 0.5000
Mg7 Mg 0.5000 0.5000 0.3083
Mg8 Mg 0.5000 0.5000 0.6917
Ti1 Ti 0.0000 0.0000 0.4127
Ti2 Ti 0.0000 0.0000 0.5873
Ti3 Ti 0.5000 0.5000 0.0873
Ti4 Ti 0.5000 0.5000 0.9127
Mo1 Mo 0.0000 0.0000 0.0000
Mo2 Mo 0.5000 0.5000 0.5000
```